No. 1
# Te2Mo3WS6
Theoretical powder diffraction line list, CuKα. Input: a crystal structure in the Materials Project, relaxed with PBE.
Peak positions follow from Bragg's law for the DFT cell and can differ from measured ones.

Crystal structure
```
12
Lattice="3.275 0.000 0.000 -1.638 2.836 0.000 0.000 0.000 37.785" Properties=species:S:1:pos:R:3 pbc="T T T"
Te 0.000 0.000 0.000
Te 0.000 0.000 3.851
Mo 0.000 0.000 9.032
Mo 0.000 0.000 32.598
Mo 0.000 1.891 1.926
W 0.000 1.891 16.124
S 0.000 0.000 14.582
S 0.000 0.000 17.665
S 0.000 1.891 7.497
S 0.000 1.891 10.570
S 0.000 1.891 31.058
S 0.000 1.891 34.137
```

Most intense lines, 2θ from 10° to 80°, most intense first:
2θ = 11.7°, I 1000; 2θ = 37.0°, I 726; 2θ = 31.6°, I 465; 2θ = 44.6°, I 378; 2θ = 56.2°, I 245; 2θ = 14.1°, I 158; 2θ = 33.8°, I 145; 2θ = 16.4°, I 140; 2θ = 38.3°, I 137; 2θ = 35.8°, I 117


No. 2
# Cs3AlO3
Theoretical powder diffraction line list, CuKα. Input: a crystal structure in the Materials Project, relaxed with PBE.
Peak positions follow from Bragg's law for the DFT cell and can differ from measured ones.

Crystal structure
```
28
Lattice="8.022 0.000 0.000 0.000 13.057 0.000 -2.982 0.000 6.645" Properties=species:S:1:pos:R:3 pbc="T T T"
Cs -1.182 1.951 2.934
Cs -2.673 4.577 6.256
Cs 1.778 0.793 0.116
Cs 0.287 5.735 3.439
Cs 1.530 9.080 4.232
Cs 3.021 10.505 0.909
Cs 2.018 2.552 5.736
Cs 3.509 3.976 2.414
Cs 4.753 7.322 3.207
Cs 3.261 12.263 6.529
Cs 7.713 8.479 0.389
Cs 6.222 11.106 3.712
Al 2.843 7.112 0.093
Al 1.352 12.473 3.415
Al 3.687 0.583 3.230
Al 2.196 5.945 6.553
O -0.982 7.821 5.337
O 0.509 11.763 2.014
O 1.947 7.334 1.602
O 0.456 12.251 4.925
O 1.924 1.148 3.107
O 0.433 5.380 6.430
O 4.606 7.676 0.216
O 3.115 11.909 3.538
O 4.583 0.805 1.721
O 3.092 5.723 5.043
O 4.531 1.293 4.631
O 6.022 5.235 1.309
```

Most intense lines, 2θ from 10° to 80°, most intense first:
2θ = 30.8°, I 1000; 2θ = 29.8°, I 660; 2θ = 27.9°, I 649; 2θ = 23.5°, I 502; 2θ = 36.3°, I 441; 2θ = 27.7°, I 429; 2θ = 24.7°, I 397; 2θ = 24.5°, I 372; 2θ = 32.1°, I 363; 2θ = 25.4°, I 362


No. 3
# MgCd
Theoretical powder diffraction line list, CuKα. Input: a crystal structure in the Materials Project, relaxed with PBE.
Peak positions follow from Bragg's law for the DFT cell and can differ from measured ones.

Crystal structure
```
6
Lattice="4.977 0.000 0.000 0.000 1.630 8.029 0.000 -1.630 8.029" Properties=species:S:1:pos:R:3 pbc="T T T"
Mg 0.000 0.000 0.000
Mg 0.000 0.000 5.295
Mg 2.488 0.000 3.410
Cd 0.000 0.000 10.675
Cd 2.488 0.000 8.812
Cd 2.488 0.000 14.135
```

Most intense lines, 2θ from 10° to 80°, most intense first:
2θ = 37.0°, I 1000; 2θ = 21.0°, I 416; 2θ = 38.2°, I 374; 2θ = 36.1°, I 332; 2θ = 27.9°, I 230; 2θ = 32.1°, I 217; 2θ = 65.5°, I 174; 2θ = 71.2°, I 162; 2θ = 33.5°, I 157; 2θ = 28.6°, I 148


No. 4
# NaIO2
Theoretical powder diffraction line list, CuKα. Input: a crystal structure in the Materials Project, relaxed with PBE.
Peak positions follow from Bragg's law for the DFT cell and can differ from measured ones.

Crystal structure
```
4
Lattice="4.269 0.000 0.000 0.000 4.269 0.000 0.000 0.000 3.614" Properties=species:S:1:pos:R:3 pbc="T T T"
Na 0.000 0.000 0.000
I 2.134 2.134 1.807
O 0.000 2.134 1.807
O 2.134 0.000 1.807
```

Most intense lines, 2θ from 10° to 80°, most intense first:
2θ = 32.5°, I 1000; 2θ = 20.8°, I 696; 2θ = 54.3°, I 446; 2θ = 24.6°, I 424; 2θ = 29.6°, I 377; 2θ = 42.3°, I 347; 2θ = 49.6°, I 227; 2θ = 47.6°, I 153; 2θ = 68.0°, I 153; 2θ = 38.9°, I 126


No. 5
# EuInPd
Theoretical powder diffraction line list, CuKα. Input: a crystal structure in the Materials Project, relaxed with PBE.
Peak positions follow from Bragg's law for the DFT cell and can differ from measured ones.

Crystal structure
```
9
Lattice="7.653 0.000 0.000 -3.827 6.628 0.000 0.000 0.000 4.294" Properties=species:S:1:pos:R:3 pbc="T T T"
Eu -2.254 3.905 0.000
Eu 1.572 2.723 0.000
Eu 4.509 0.000 0.000
In -0.948 1.642 2.147
In 1.896 0.000 2.147
In 2.879 4.986 2.147
Pd 0.000 0.000 0.000
Pd 0.000 4.419 2.147
Pd 3.827 2.209 2.147
```

Most intense lines, 2θ from 10° to 80°, most intense first:
2θ = 31.3°, I 1000; 2θ = 34.2°, I 962; 2θ = 35.8°, I 498; 2θ = 42.1°, I 300; 2θ = 40.8°, I 291; 2θ = 65.1°, I 287; 2θ = 56.4°, I 262; 2θ = 41.7°, I 243; 2θ = 54.3°, I 186; 2θ = 60.1°, I 183


No. 6
# CsWCl6
Theoretical powder diffraction line list, CuKα. Input: a crystal structure in the Materials Project, relaxed with PBE.
Peak positions follow from Bragg's law for the DFT cell and can differ from measured ones.

Crystal structure
```
16
Lattice="6.260 -3.296 0.000 6.260 3.296 0.000 -2.709 0.000 12.469" Properties=species:S:1:pos:R:3 pbc="T T T"
Cs 4.227 2.526 9.352
Cs 5.582 -2.526 3.117
W 3.130 1.648 0.000
W 1.775 -1.648 6.235
Cl 0.520 0.274 6.724
Cl 1.267 0.587 10.548
Cl 1.875 -0.274 0.489
Cl 4.924 0.805 1.257
Cl 2.621 -0.587 4.313
Cl 6.241 0.805 4.977
Cl 3.569 -0.805 7.492
Cl 7.188 0.587 8.156
Cl 4.886 -0.805 11.212
Cl 7.935 0.274 11.980
Cl 8.543 -0.587 1.922
Cl 9.290 -0.274 5.746
```

Most intense lines, 2θ from 10° to 80°, most intense first:
2θ = 17.5°, I 1000; 2θ = 18.0°, I 573; 2θ = 25.1°, I 376; 2θ = 22.4°, I 340; 2θ = 16.2°, I 334; 2θ = 40.6°, I 333; 2θ = 30.9°, I 306; 2θ = 25.4°, I 298; 2θ = 31.2°, I 238; 2θ = 31.7°, I 231


No. 7
# Rb2NdCuF6
Theoretical powder diffraction line list, CuKα. Input: a crystal structure in the Materials Project, relaxed with PBE.
Peak positions follow from Bragg's law for the DFT cell and can differ from measured ones.

Crystal structure
```
10
Lattice="0.000 4.556 4.556 4.556 0.000 4.556 4.556 4.556 0.000" Properties=species:S:1:pos:R:3 pbc="T T T"
Rb 2.278 2.278 2.278
Rb 6.834 6.834 6.834
Nd 0.000 0.000 0.000
Cu 4.556 4.556 4.556
F 4.556 4.556 2.276
F 4.556 2.276 4.556
F 6.836 4.556 4.556
F 2.276 4.556 4.556
F 4.556 6.836 4.556
F 4.556 4.556 6.836
```

Most intense lines, 2θ from 10° to 80°, most intense first:
2θ = 27.7°, I 1000; 2θ = 49.0°, I 418; 2θ = 39.6°, I 402; 2θ = 57.2°, I 253; 2θ = 78.6°, I 212; 2θ = 64.7°, I 182; 2θ = 16.9°, I 102; 2θ = 71.8°, I 81; 2θ = 19.5°, I 66; 2θ = 32.6°, I 60


No. 8
# Ba6Ga5N
Theoretical powder diffraction line list, CuKα. Input: a crystal structure in the Materials Project, relaxed with PBE.
Peak positions follow from Bragg's law for the DFT cell and can differ from measured ones.

Crystal structure
```
24
Lattice="3.990 2.304 14.131 -3.990 2.304 14.131 0.000 -4.607 14.131" Properties=species:S:1:pos:R:3 pbc="T T T"
Ba -2.291 0.744 15.657
Ba -1.699 -1.559 22.723
Ba -2.200 0.692 19.670
Ba 0.501 -2.356 15.657
Ba -1.790 -1.612 26.735
Ba 0.501 -2.251 19.670
Ba -0.501 2.251 22.723
Ba 1.790 1.612 15.657
Ba -0.501 2.356 26.735
Ba 2.200 -0.692 22.723
Ba 1.699 1.559 19.670
Ba 2.291 -0.744 26.735
Ga -1.612 0.000 10.598
Ga 0.000 0.000 8.380
Ga 0.806 -1.396 10.598
Ga 0.000 0.000 12.817
Ga 0.806 1.396 10.598
Ga -0.806 -1.396 31.795
Ga 0.000 0.000 29.576
Ga -0.806 1.396 31.795
Ga 0.000 0.000 34.013
Ga 1.612 0.000 31.795
N 0.000 0.000 0.000
N 0.000 0.000 21.196
```

Most intense lines, 2θ from 10° to 80°, most intense first:
2θ = 33.5°, I 1000; 2θ = 26.1°, I 932; 2θ = 29.3°, I 815; 2θ = 30.9°, I 674; 2θ = 34.4°, I 571; 2θ = 53.4°, I 357; 2θ = 25.2°, I 343; 2θ = 50.5°, I 265; 2θ = 47.5°, I 258; 2θ = 38.2°, I 223


No. 9
# Th2Co7
Theoretical powder diffraction line list, CuKα. Input: a crystal structure in the Materials Project, relaxed with PBE.
Peak positions follow from Bragg's law for the DFT cell and can differ from measured ones.

Crystal structure
```
36
Lattice="4.970 0.000 0.000 -2.485 4.304 0.000 0.000 0.000 24.898" Properties=species:S:1:pos:R:3 pbc="T T T"
Th 0.000 2.869 0.776
Th 0.000 2.869 4.367
Th 0.000 2.869 8.082
Th 0.000 2.869 11.673
Th 2.485 1.435 13.225
Th 2.485 1.435 16.816
Th 2.485 1.435 20.531
Th 2.485 1.435 24.122
Co 0.000 0.000 0.000
Co 0.000 0.000 4.205
Co 0.000 0.000 8.245
Co 0.000 0.000 12.449
Co 0.000 0.000 16.654
Co 0.000 0.000 20.694
Co 0.000 1.426 14.649
Co 0.000 1.426 22.698
Co -1.250 3.591 14.649
Co -1.250 3.591 22.698
Co 0.000 1.436 18.674
Co -1.241 3.586 18.674
Co 1.235 0.713 2.200
Co 1.235 0.713 10.249
Co 0.000 2.869 16.633
Co 0.000 2.869 20.714
Co 1.244 0.718 6.225
Co 1.241 3.586 18.674
Co 2.485 1.435 4.184
Co 2.485 1.435 8.265
Co 1.250 3.591 14.649
Co 1.250 3.591 22.698
Co 3.726 0.718 6.225
Co 2.485 2.868 6.225
Co 3.735 0.713 2.200
Co 3.735 0.713 10.249
Co 2.485 2.878 2.200
Co 2.485 2.878 10.249
```

Most intense lines, 2θ from 10° to 80°, most intense first:
2θ = 32.7°, I 1000; 2θ = 42.4°, I 928; 2θ = 36.1°, I 635; 2θ = 42.1°, I 345; 2θ = 62.8°, I 319; 2θ = 76.7°, I 209; 2θ = 69.3°, I 209; 2θ = 20.9°, I 207; 2θ = 64.4°, I 183; 2θ = 65.2°, I 182


No. 10
# Mg3SO9
Theoretical powder diffraction line list, CuKα. Input: a crystal structure in the Materials Project, relaxed with PBE.
Peak positions follow from Bragg's law for the DFT cell and can differ from measured ones.

Crystal structure
```
13
Lattice="5.711 0.000 0.000 0.477 7.094 0.000 2.790 1.675 6.344" Properties=species:S:1:pos:R:3 pbc="T T T"
Mg 0.000 0.000 0.000
Mg 2.021 7.762 3.055
Mg 5.667 3.454 1.411
S 6.543 5.445 2.803
O 2.801 1.410 4.380
O 1.769 0.461 0.982
O 2.978 5.861 2.313
O 2.904 6.255 1.008
O 4.819 1.259 1.742
O 5.729 1.959 2.670
O 5.036 1.897 0.397
O 7.848 7.729 5.043
O 6.129 5.341 1.221
```

Most intense lines, 2θ from 10° to 80°, most intense first:
2θ = 16.9°, I 1000; 2θ = 14.0°, I 908; 2θ = 12.9°, I 846; 2θ = 23.3°, I 340; 2θ = 21.7°, I 201; 2θ = 20.9°, I 154; 2θ = 26.2°, I 138; 2θ = 31.4°, I 117; 2θ = 36.1°, I 107; 2θ = 33.2°, I 103


No. 11
# Cs3Mg3InP12O36
Theoretical powder diffraction line list, CuKα. Input: a crystal structure in the Materials Project, relaxed with PBE.
Peak positions follow from Bragg's law for the DFT cell and can differ from measured ones.

Crystal structure
```
55
Lattice="8.245 -5.041 0.000 8.245 5.041 0.000 -7.763 0.000 9.986" Properties=species:S:1:pos:R:3 pbc="T T T"
Cs 0.000 0.000 0.000
Cs 4.467 2.918 4.926
Cs 4.467 -2.918 4.926
Mg 0.897 0.000 4.210
Mg 8.011 0.000 5.732
Mg 12.479 0.000 0.924
In -3.577 0.000 9.052
P 0.808 2.119 6.938
P 5.689 2.078 1.325
P -1.189 0.000 6.655
P 3.766 0.000 2.306
P 3.223 2.023 8.646
P 8.096 2.105 3.025
P 0.808 -2.119 6.938
P 5.689 -2.078 1.325
P 5.150 0.000 7.689
P 10.120 0.000 3.267
P 3.223 -2.023 8.646
P 8.096 -2.105 3.025
O 0.223 1.490 2.892
O 0.455 3.566 7.063
O 5.490 3.545 1.596
O -2.642 0.000 7.112
O -2.309 1.527 9.927
O -0.994 0.000 5.174
O -0.535 1.290 7.347
O 1.424 1.544 5.677
O 3.083 0.000 0.954
O 3.375 3.504 8.329
O 4.786 1.236 2.406
O 0.223 -1.490 2.892
O 1.729 1.632 8.215
O 2.925 0.000 3.539
O 7.179 1.662 1.732
O -0.535 -1.290 7.347
O -2.309 -1.527 9.927
O 4.138 1.274 7.526
O 7.490 1.549 4.269
O 1.424 -1.544 5.677
O 4.786 -1.236 2.406
O 11.261 1.485 0.017
O 9.394 1.246 2.579
O 1.729 -1.632 8.215
O 6.005 0.000 6.459
O 7.179 -1.662 1.732
O 0.455 -3.566 7.063
O 4.138 -1.274 7.526
O 5.490 -3.545 1.596
O 5.759 0.000 9.058
O 7.490 -1.549 4.269
O 9.394 -1.246 2.579
O 9.898 0.000 4.756
O 11.261 -1.485 0.017
O 11.543 0.000 2.783
O 3.375 -3.504 8.329
```

Most intense lines, 2θ from 10° to 80°, most intense first:
2θ = 22.3°, I 1000; 2θ = 29.7°, I 912; 2θ = 29.1°, I 775; 2θ = 21.6°, I 685; 2θ = 27.7°, I 533; 2θ = 27.0°, I 525; 2θ = 19.7°, I 451; 2θ = 21.3°, I 449; 2θ = 27.5°, I 436; 2θ = 28.4°, I 419